(1)
This entry pairs a crystal structure of Pu3Cu3NiS8 with its computed powder XRD pattern. Radiation: Cu Ka. Structure: a structure optimized by DFT (PBE).
Neutral-atom scattering factors, no anomalous dispersion.

Peak list (10 most intense, 10 to 80 degrees two-theta, in order of rising 2θ)
Position (°2θ), intensity
15.34, 626
16.28, 193
26.82, 297
28.28, 260
29.07, 456
30.96, 192
32.90, 1000
36.20, 387
47.97, 488
51.43, 286

Structure:
Cell lengths 7.153, 7.153, 7.617 Å; angles 117.96, 117.96, 66.28 degrees
Positions (direct):
Pu 0.000 0.000 0.000
Pu 0.000 0.500 0.500
Pu 0.500 0.000 0.500
Cu 0.000 0.500 0.000
Cu 0.500 0.000 0.000
Cu 0.500 0.500 0.500
Ni 0.500 0.500 0.000
S 0.251 0.713 0.212
S 0.265 0.265 0.764
S 0.267 0.267 0.272
S 0.287 0.749 0.788
S 0.713 0.251 0.212
S 0.733 0.733 0.728
S 0.735 0.735 0.236
S 0.749 0.287 0.788

=====

(2)
This entry pairs a crystal structure of Ag7TeS2Cl2 with its computed powder XRD pattern. Radiation: Cu Ka. Structure: a structure optimized by DFT (PBE).
Neutral-atom scattering factors, no anomalous dispersion.

Peak list (10 most intense, 10 to 80 degrees two-theta, in order of rising 2θ)
Position (°2θ), intensity
14.86, 381
28.77, 459
30.24, 1000
35.71, 657
37.86, 342
41.59, 199
41.81, 376
42.27, 322
46.72, 412
51.55, 178

Structure:
Cell lengths 11.344, 11.344, 11.344 Å; angles 158.04, 38.94, 148.25 degrees
Positions (direct):
Ag 0.000 0.000 0.000
Ag 0.131 0.542 0.589
Ag 0.367 0.153 0.214
Ag 0.560 0.653 0.907
Ag 0.747 0.653 0.093
Ag 0.939 0.153 0.786
Ag 0.953 0.542 0.411
Te 0.668 0.168 0.500
S 0.141 0.242 0.899
S 0.343 0.242 0.101
Cl 0.492 0.707 0.785
Cl 0.922 0.707 0.215

=====

(3)
This entry pairs a crystal structure of Y3HgO with its computed powder XRD pattern. Radiation: Cu Ka. Structure: a structure optimized by DFT (PBE).
Neutral-atom scattering factors, no anomalous dispersion.

Peak list (10 most intense, 10 to 80 degrees two-theta, in order of rising 2θ)
Position (°2θ), intensity
13.49, 193
25.36, 226
29.73, 1000
32.19, 996
32.81, 405
34.22, 384
34.79, 222
40.35, 177
48.14, 303
53.91, 169

Structure:
Cell lengths 8.739, 8.739, 7.486 Å; angles 106.05, 106.05, 73.70 degrees
Positions (direct):
Y 0.125 0.142 0.325
Y 0.142 0.125 0.825
Y 0.250 0.750 0.000
Y 0.250 0.750 0.500
Y 0.358 0.375 0.175
Y 0.375 0.358 0.675
Y 0.625 0.642 0.325
Y 0.642 0.625 0.825
Y 0.750 0.250 0.000
Y 0.750 0.250 0.500
Y 0.858 0.875 0.175
Y 0.875 0.858 0.675
Hg 0.010 0.490 0.750
Hg 0.490 0.010 0.250
Hg 0.510 0.990 0.750
Hg 0.990 0.510 0.250
O 0.133 0.867 0.750
O 0.367 0.633 0.250
O 0.633 0.367 0.750
O 0.867 0.133 0.250

=====

(4)
This entry pairs a crystal structure of BaLiTe2Au with its computed powder XRD pattern. Radiation: Cu Ka. Structure: a structure optimized by DFT (PBE).
Neutral-atom scattering factors, no anomalous dispersion.

Peak list (10 most intense, 10 to 80 degrees two-theta, in order of rising 2θ)
Position (°2θ), intensity
14.16, 369
18.28, 427
26.39, 1000
27.23, 324
27.68, 860
30.86, 466
35.38, 583
39.22, 272
41.93, 382
55.68, 240

Structure:
Cell lengths 8.336, 8.336, 6.256 Å; angles 90.00, 90.00, 134.51 degrees
Positions (direct):
Ba 0.250 0.750 0.771
Ba 0.750 0.250 0.229
Li 0.250 0.250 0.500
Li 0.750 0.750 0.500
Te 0.129 0.871 0.272
Te 0.371 0.629 0.272
Te 0.629 0.371 0.728
Te 0.871 0.129 0.728
Au 0.000 0.000 0.000
Au 0.500 0.500 0.000

=====

(5)
This entry pairs a crystal structure of FeHg2Pb with its computed powder XRD pattern. Radiation: Cu Ka. Structure: a structure optimized by DFT (PBE).
Neutral-atom scattering factors, no anomalous dispersion.

Peak list (10 most intense, 10 to 80 degrees two-theta, in order of rising 2θ)
Position (°2θ), intensity
18.76, 51
22.43, 129
34.70, 1000
38.04, 195
41.37, 310
57.45, 238
59.94, 105
66.59, 154
71.15, 254
73.23, 123

Structure:
Cell lengths 5.649, 5.649, 5.649 Å; angles 134.54, 134.54, 66.24 degrees
Positions (direct):
Fe 0.000 0.000 0.000
Hg 0.250 0.750 0.500
Hg 0.500 0.500 0.000
Pb 0.750 0.250 0.500

=====

(6)
This entry pairs a crystal structure of PrTlO with its computed powder XRD pattern. Radiation: Cu Ka. Structure: a structure optimized by DFT (PBE).
Neutral-atom scattering factors, no anomalous dispersion.

Peak list (10 most intense, 10 to 80 degrees two-theta, in order of rising 2θ)
Position (°2θ), intensity
28.22, 1000
34.03, 171
34.50, 498
45.53, 317
53.43, 113
54.43, 164
58.04, 222
58.35, 114
73.60, 135
76.98, 103

Structure:
Cell lengths 10.787, 10.787, 10.787 Å; angles 21.29, 21.29, 21.29 degrees
Positions (direct):
Pr 0.119 0.119 0.119
Pr 0.881 0.881 0.881
Tl 0.367 0.367 0.367
Tl 0.633 0.633 0.633
O 0.196 0.196 0.196
O 0.804 0.804 0.804

=====

(7)
This entry pairs a crystal structure of GaAsS with its computed powder XRD pattern. Radiation: Cu Ka. Structure: a structure optimized by DFT (PBE).
Neutral-atom scattering factors, no anomalous dispersion.

Peak list (10 most intense, 10 to 80 degrees two-theta, in order of rising 2θ)
Position (°2θ), intensity
14.45, 1000
25.99, 141
27.63, 111
29.76, 427
32.91, 310
37.10, 118
44.52, 248
49.68, 199
49.98, 119
51.15, 156

Structure:
Cell lengths 6.754, 6.754, 7.276 Å; angles 108.78, 108.78, 31.35 degrees
Positions (direct):
Ga 0.196 0.196 0.121
Ga 0.804 0.804 0.879
As 0.179 0.179 0.447
As 0.821 0.821 0.553
S 0.374 0.374 0.089
S 0.626 0.626 0.911

=====

(8)
This entry pairs a crystal structure of LiNbF5 with its computed powder XRD pattern. Radiation: Cu Ka. Structure: a structure optimized by DFT (PBE).
Neutral-atom scattering factors, no anomalous dispersion.

Peak list (10 most intense, 10 to 80 degrees two-theta, in order of rising 2θ)
Position (°2θ), intensity
17.32, 957
24.58, 642
24.86, 1000
39.34, 346
43.44, 304
43.94, 144
47.57, 160
50.51, 175
50.99, 134
60.43, 209

Structure:
Cell lengths 5.520, 5.520, 5.520 Å; angles 98.15, 97.87, 136.17 degrees
Positions (direct):
Li 0.000 0.000 0.000
Nb 0.252 0.752 0.500
F 0.238 0.012 0.774
F 0.238 0.464 0.226
F 0.539 0.765 0.773
F 0.752 0.252 0.500
F 0.992 0.765 0.227

=====

(9)
This entry pairs a crystal structure of LaSeBr with its computed powder XRD pattern. Radiation: Cu Ka. Structure: a structure optimized by DFT (PBE).
Neutral-atom scattering factors, no anomalous dispersion.

Peak list (10 most intense, 10 to 80 degrees two-theta, in order of rising 2θ)
Position (°2θ), intensity
17.85, 556
26.64, 143
27.87, 1000
30.06, 448
38.93, 292
39.82, 348
41.45, 676
50.69, 344
69.77, 142
73.41, 174

Structure:
Cell lengths 9.055, 9.055, 5.945 Å; angles 90.00, 90.00, 90.00 degrees
Positions (direct):
La 0.000 0.255 0.000
La 0.000 0.745 0.000
La 0.255 0.000 0.500
La 0.745 0.000 0.500
Se 0.000 0.218 0.500
Se 0.000 0.782 0.500
Se 0.218 0.000 0.000
Se 0.782 0.000 0.000
Br 0.219 0.500 0.000
Br 0.500 0.219 0.500
Br 0.500 0.781 0.500
Br 0.781 0.500 0.000

=====

(10)
This entry pairs a crystal structure of MgGa2O4 with its computed powder XRD pattern. Radiation: Cu Ka. Structure: a structure optimized by DFT (PBE).
Neutral-atom scattering factors, no anomalous dispersion.

Peak list (10 most intense, 10 to 80 degrees two-theta, in order of rising 2θ)
Position (°2θ), intensity
18.28, 397
21.09, 158
30.03, 308
35.31, 1000
35.40, 234
42.95, 333
56.76, 269
56.87, 195
62.27, 291
62.45, 283

Structure:
Cell lengths 5.949, 5.949, 5.949 Å; angles 60.17, 60.17, 60.17 degrees
Positions (direct):
Mg 0.000 0.000 0.000
Mg 0.377 0.377 0.377
Ga 0.001 0.001 0.488
Ga 0.001 0.488 0.001
Ga 0.488 0.001 0.001
Ga 0.618 0.618 0.618
O 0.225 0.752 0.752
O 0.240 0.240 0.240
O 0.244 0.244 0.780
O 0.244 0.780 0.244
O 0.752 0.225 0.752
O 0.752 0.752 0.225
O 0.753 0.753 0.753
O 0.780 0.244 0.244

=====

(11)
This entry pairs a crystal structure of Pm5NdTm5 with its computed powder XRD pattern. Radiation: Cu Ka. Structure: a structure optimized by DFT (PBE).
Neutral-atom scattering factors, no anomalous dispersion.

Peak list (10 most intense, 10 to 80 degrees two-theta, in order of rising 2θ)
Position (°2θ), intensity
28.27, 1000
29.43, 839
30.41, 308
33.17, 283
34.78, 370
34.97, 376
37.41, 546
46.19, 256
51.50, 385
61.08, 287

Structure:
Cell lengths 6.069, 6.069, 11.843 Å; angles 90.00, 90.00, 120.00 degrees
Positions (direct):
Pm 0.000 0.000 0.000
Pm 0.333 0.667 0.318
Pm 0.333 0.667 0.682
Pm 0.667 0.333 0.154
Pm 0.667 0.333 0.846
Nd 0.333 0.667 0.000
Tm 0.000 0.000 0.266
Tm 0.000 0.000 0.734
Tm 0.332 0.166 0.500
Tm 0.834 0.166 0.500
Tm 0.834 0.668 0.500

=====

(12)
This entry pairs a crystal structure of CeInTcH6 with its computed powder XRD pattern. Radiation: Cu Ka. Structure: a structure optimized by DFT (PBE).
Neutral-atom scattering factors, no anomalous dispersion.

Peak list (10 most intense, 10 to 80 degrees two-theta, in order of rising 2θ)
Position (°2θ), intensity
19.22, 44
29.07, 1000
37.89, 503
39.00, 150
48.45, 245
55.50, 332
63.10, 216
64.65, 101
68.43, 86
77.44, 59

Structure:
Cell lengths 4.750, 4.750, 4.618 Å; angles 90.00, 90.00, 120.00 degrees
Positions (direct):
Ce 0.000 0.000 0.000
In 0.333 0.667 0.500
Tc 0.667 0.333 0.500
H 0.525 0.473 0.209
H 0.525 0.473 0.791
H 0.527 0.052 0.209
H 0.527 0.052 0.791
H 0.948 0.475 0.209
H 0.948 0.475 0.791